Record 1
Diffraction record for MgBe2S3. The X-ray diffraction stick pattern is simulated, not measured: it uses a GGA-PBE-relaxed structure and CuKα.
Intensities are scaled so that the largest is 100.

```
12
Lattice="3.1405 -5.5073 0.0000 3.1405 5.5073 0.0000 -1.9485 0.0000 5.8989" Properties=species:S:1:pos:R:3 pbc="T T T"
Mg 2.1662 4.5305 2.9495
Mg 3.1405 -4.5305 0.0000
Be 3.1557 2.6758 0.0418
Be 2.1381 0.9144 2.9865
Be 3.1123 -0.9144 0.0370
Be 2.1814 -2.6758 2.9912
S 0.1313 1.1314 2.4020
S -0.8429 -1.1314 5.3514
S 3.3097 2.5259 2.2015
S 2.0214 0.8843 5.1308
S 2.9957 -0.8843 2.1813
S 2.3354 -2.5259 5.1510
```

Most intense lines, 5° ≤ 2θ ≤ 70°, most intense first:
d/Å  two_theta  I_rel
2.972  30.07  100
2.949  30.31  61
2.982  29.96  51
1.803  50.61  33
1.818  50.17  31
2.592  34.61  19
1.563  59.10  19
1.830  49.84  16
1.836  49.67  16
1.533  60.37  12



Record 2
Diffraction record for KNaCrBr6. The X-ray diffraction stick pattern is simulated, not measured: it uses a GGA-PBE-relaxed structure and CuKα.
Intensities are scaled so that the largest is 100.

```
9
Lattice="7.2933 0.0000 0.0000 -3.6467 6.3162 0.0000 0.0000 0.0000 6.6822" Properties=species:S:1:pos:R:3 pbc="T T T"
K 0.0000 0.0000 0.0000
Na 0.0000 4.2108 3.3411
Cr 3.6467 2.1054 3.3411
Br 2.7163 0.3058 4.7916
Br 1.6229 2.1995 1.8906
Br 4.5770 0.3058 1.8906
Br 2.5533 3.8110 4.7916
Br 5.6704 2.1995 4.7916
Br 4.7400 3.8110 1.8906
```

Most intense lines, 5° ≤ 2θ ≤ 70°, most intense first:
d/Å  two_theta  I_rel
3.201  27.87  100
2.463  36.47  43
2.248  40.11  35
6.316  14.02  32
2.105  42.96  21
4.590  19.34  20
1.901  47.85  19
3.341  26.68  15
6.682  13.25  14
1.629  56.51  11



Record 3
Diffraction record for MgAl2Zn. The X-ray diffraction stick pattern is simulated, not measured: it uses a GGA-PBE-relaxed structure and CuKα.
Intensities are scaled so that the largest is 100.

```
4
Lattice="4.5974 -1.5115 0.0000 4.5974 1.5115 0.0000 -0.9623 0.0000 5.0818" Properties=species:S:1:pos:R:3 pbc="T T T"
Mg 0.0000 0.0000 0.0000
Al 4.1569 0.0000 2.5817
Al 6.6932 0.0000 1.3759
Zn 1.5522 0.0000 3.8500
```

Most intense lines, 5° ≤ 2θ ≤ 70°, most intense first:
d/Å  two_theta  I_rel
2.436  36.90  100
2.067  43.80  61
2.415  37.23  49
2.259  39.92  40
2.057  44.02  30
5.082  17.45  28
4.517  19.65  22
1.498  61.97  22
1.421  65.69  20
3.739  23.80  14